# 1
# Sr2I2F
Theoretical XRD peak list, λ = 1.5418 Å (Cu Kα). Input: a cell relaxed with GGA-PBE.

Largest 6 diffraction maxima, sorted by position, 15 to 90 degrees two-theta:
two_theta  Rel. int.  h k l
16.6  100  1 0 0
23.5  44  1 1 0
29.2  25  1 0 4
33.5  17  2 0 0
33.7  17  1 1 4
37.6  25  2 1 0

Crystal structure
```
data_Sr2I2F
_chemical_formula_sum 'Sr2 I2 F1'
_cell_length_a 5.348
_cell_length_b 5.348
_cell_length_c 14.944
_cell_angle_alpha 90.00
_cell_angle_beta 90.00
_cell_angle_gamma 90.00
_space_group_name_H-M_alt 'P 4/m m m'
_space_group_IT_number 123
_space_group_name_Hall '-P 4 2'
loop_
_atom_site_label
_atom_site_type_symbol
_atom_site_fract_x
_atom_site_fract_y
_atom_site_fract_z
_atom_site_occupancy
Sr1 Sr 0.000 0.000 0.154 1
I1 I 0.000 0.000 0.351 1
F1 F 0.000 0.000 0.000 1
```

***

# 2
# Dy2CuO4
Theoretical XRD peak list, λ = 1.5418 Å (Cu Kα). Input: a cell relaxed with GGA-PBE.

Largest 6 diffraction maxima, sorted by position, 15 to 90 degrees two-theta:
two_theta  Rel. int.  h k l
24.2  20  1 0 1
32.5  100  1 0 3
32.7  36  1 1 0
45.3  17  1 1 4
46.9  26  2 0 0
58.2  37  2 1 3

Crystal structure
```
data_Dy2CuO4
_chemical_formula_sum 'Dy4 Cu2 O8'
_cell_length_a 3.874
_cell_length_b 3.874
_cell_length_c 11.745
_cell_angle_alpha 90.00
_cell_angle_beta 90.00
_cell_angle_gamma 90.00
_space_group_name_H-M_alt 'I 4/m m m'
_space_group_IT_number 139
_space_group_name_Hall '-I 4 2'
loop_
_atom_site_label
_atom_site_type_symbol
_atom_site_fract_x
_atom_site_fract_y
_atom_site_fract_z
_atom_site_occupancy
Dy1 Dy 0.000 0.000 0.152 1
Cu1 Cu 0.000 0.000 0.500 1
O1 O 0.000 0.500 0.000 1
O2 O 0.000 0.500 0.250 1
```

***

# 3
# Ba4Hf3O10
Theoretical XRD peak list, λ = 1.5418 Å (Cu Kα). Input: a cell relaxed with GGA-PBE.

Largest 6 diffraction maxima, sorted by position, 15 to 90 degrees two-theta:
two_theta  Rel. int.  h k l
29.6  100  7 1 1
30.0  28  0 2 0
30.1  28  0 0 2
43.0  29  0 2 2
53.0  20  7 3 1
53.1  20  7 1 3

Crystal structure
```
data_Ba4Hf3O10
_chemical_formula_sum 'Ba16 Hf12 O40'
_cell_length_a 30.442
_cell_length_b 5.955
_cell_length_c 5.935
_cell_angle_alpha 90.00
_cell_angle_beta 90.00
_cell_angle_gamma 90.00
_space_group_name_H-M_alt 'C m c e'
_space_group_IT_number 64
_space_group_name_Hall '-C 2ac 2'
loop_
_atom_site_label
_atom_site_type_symbol
_atom_site_fract_x
_atom_site_fract_y
_atom_site_fract_z
_atom_site_occupancy
Ba1 Ba 0.069 0.000 0.000 1
Ba2 Ba 0.204 0.000 0.000 1
Hf1 Hf 0.000 0.000 0.500 1
Hf2 Hf 0.139 0.000 0.500 1
O1 O 0.000 0.230 0.230 1
O2 O 0.069 0.000 0.500 1
O3 O 0.138 0.239 0.761 1
O4 O 0.208 0.000 0.500 1
```

***

# 4
# LiScAu2
Theoretical XRD peak list, λ = 1.5418 Å (Cu Kα). Input: a cell relaxed with GGA-PBE.

Largest 6 diffraction maxima, sorted by position, 15 to 90 degrees two-theta:
two_theta  Rel. int.  h k l
27.0  75  2 0 0
38.6  100  2 2 0
47.8  22  2 2 2
55.8  17  4 0 0
63.1  30  4 2 0
69.9  35  4 2 2

Crystal structure
```
data_LiScAu2
_chemical_formula_sum 'Li4 Sc4 Au8'
_cell_length_a 6.593
_cell_length_b 6.593
_cell_length_c 6.593
_cell_angle_alpha 90.00
_cell_angle_beta 90.00
_cell_angle_gamma 90.00
_space_group_name_H-M_alt 'F m -3 m'
_space_group_IT_number 225
_space_group_name_Hall '-F 4 2 3'
loop_
_atom_site_label
_atom_site_type_symbol
_atom_site_fract_x
_atom_site_fract_y
_atom_site_fract_z
_atom_site_occupancy
Li1 Li 0.000 0.000 0.000 1
Sc1 Sc 0.000 0.000 0.500 1
Au1 Au 0.250 0.250 0.250 1
```

***

# 5
# TbPr3
Theoretical XRD peak list, λ = 1.5418 Å (Cu Kα). Input: a cell relaxed with GGA-PBE.

Largest 6 diffraction maxima, sorted by position, 15 to 90 degrees two-theta:
two_theta  Rel. int.  h k l
27.9  23  2 0 0
29.5  27  0 0 2
31.7  100  2 0 1
49.4  19  2 2 0
53.7  23  2 0 3
58.6  23  2 2 2

Crystal structure
```
data_TbPr3
_chemical_formula_sum 'Tb2 Pr6'
_cell_length_a 7.3797
_cell_length_b 7.3797
_cell_length_c 6.0572
_cell_angle_alpha 90.00
_cell_angle_beta 90.00
_cell_angle_gamma 120.00
_space_group_name_H-M_alt 'P 63/m m c'
_space_group_IT_number 194
_space_group_name_Hall '-P 6c 2c'
loop_
_atom_site_label
_atom_site_type_symbol
_atom_site_fract_x
_atom_site_fract_y
_atom_site_fract_z
_atom_site_occupancy
Tb1 Tb 0.3333 0.6667 0.2500 1
Pr1 Pr 0.1678 0.3355 0.7500 1
```

***

# 6
# KMgHC2O10
Theoretical XRD peak list, λ = 1.5418 Å (Cu Kα). Input: a cell relaxed with GGA-PBE.

Largest 6 diffraction maxima, sorted by position, 15 to 90 degrees two-theta:
two_theta  Rel. int.  h k l
17.7  19  1 0 0
23.4  100  1 0 -1
26.3  19  0 1 2
29.8  28  1 2 1
33.5  18  1 0 2
34.9  15  1 0 -2

Crystal structure
```
data_KMgHC2O10
_chemical_formula_sum 'K1 Mg1 H1 C2 O10'
_cell_length_a 5.133
_cell_length_b 6.527
_cell_length_c 6.884
_cell_angle_alpha 63.56
_cell_angle_beta 82.23
_cell_angle_gamma 77.43
_space_group_name_H-M_alt 'P -1'
_space_group_IT_number 2
loop_
_space_group_symop_operation_xyz
'x,y,z'
'-x,-y,-z'
loop_
_atom_site_label
_atom_site_type_symbol
_atom_site_fract_x
_atom_site_fract_y
_atom_site_fract_z
_atom_site_occupancy
K1 K 0.000 0.000 0.000 1
Mg1 Mg 0.500 0.500 0.500 1
H1 H 0.000 0.500 0.000 1
C1 C 0.341 0.294 0.203 1
O1 O 0.161 0.322 0.075 1
O2 O 0.202 0.788 0.400 1
O3 O 0.364 0.448 0.264 1
O4 O 0.401 0.865 0.255 1
O5 O 0.481 0.899 0.725 1
```

***

# 7
# Pr2Cu2O5
Theoretical XRD peak list, λ = 1.5418 Å (Cu Kα). Input: a cell relaxed with GGA-PBE.

Largest 6 diffraction maxima, sorted by position, 15 to 90 degrees two-theta:
two_theta  Rel. int.  h k l
32.1  20  2 0 0
33.0  100  1 2 1
33.3  17  2 1 0
34.7  26  0 4 0
38.4  27  1 4 0
46.7  21  0 0 2

Crystal structure
```
data_Pr2Cu2O5
_chemical_formula_sum 'Pr4 Cu4 O10'
_cell_length_a 5.573
_cell_length_b 10.349
_cell_length_c 3.887
_cell_angle_alpha 90.00
_cell_angle_beta 90.00
_cell_angle_gamma 90.00
_space_group_name_H-M_alt 'P b a m'
_space_group_IT_number 55
loop_
_space_group_symop_operation_xyz
'x,y,z'
'-x,-y,-z'
'-x,-y,z'
'x,y,-z'
'x+1/2,-y+1/2,-z'
'-x+1/2,y+1/2,z'
'-x+1/2,y+1/2,-z'
'x+1/2,-y+1/2,z'
loop_
_atom_site_label
_atom_site_type_symbol
_atom_site_fract_x
_atom_site_fract_y
_atom_site_fract_z
_atom_site_occupancy
Pr1 Pr 0.178 0.142 0.000 1
Cu1 Cu 0.201 0.399 0.500 1
O1 O 0.000 0.000 0.500 1
O2 O 0.081 0.709 0.500 1
O3 O 0.226 0.396 0.000 1
```